This entry pairs a crystal structure of Dy5TlHg3 with its theoretical PXRD pattern. Radiation: CuKα. Structure: a structure optimized by DFT (PBE).

The 10 most intense peaks (2θ from 10° to 90°), sorted by position:
2theta, I (rel.)
32.8, 25.0
33.1, 100.0
34.0, 88.5
43.4, 12.2
48.1, 29.0
54.6, 9.9
60.2, 26.0
60.8, 10.2
63.7, 10.8
65.9, 26.5

a b c (Å): 9.1392 9.1392 6.7257
angles (deg): 90.00 90.00 120.00
Space group P6_3/mcm (No. 193)
Inequivalent atoms, fractional coordinates:
1 Dy 0.0000 0.2969 0.2500 (multiplicity 6)
2 Dy 0.3333 0.6667 0.0000 (multiplicity 4)
3 Tl 0.0000 0.0000 0.0000 (multiplicity 2)
4 Hg 0.0000 0.3732 0.7500 (multiplicity 6)